# 1
Computed X-ray diffraction stick pattern
Compound: SrSn3Rh
Radiation: a wavelength of 1.5418 Å
Structure: the GGA-PBE geometry in Alexandria

Top 10 peaks for 2θ = 10–90°, by angle:
d [Å]  I (rel.)
7.315  17
2.995  12
2.848  100
2.502  35
2.301  13
2.277  31
2.150  10
2.106  9
1.567  10
1.402  12

abc: 9.2866 4.5549 11.8733
angles: 90.00 90.00 90.00
Positions (direct):
Sr 0.1898 0.2500 0.0156
Sr 0.3102 0.7500 0.5156
Sr 0.6898 0.2500 0.4844
Sr 0.8102 0.7500 0.9844
Sn 0.0627 0.2500 0.5812
Sn 0.1235 0.7500 0.8118
Sn 0.1429 0.7500 0.2203
Sn 0.3571 0.2500 0.7203
Sn 0.3765 0.2500 0.3118
Sn 0.4373 0.7500 0.0812
Sn 0.5627 0.2500 0.9188
Sn 0.6235 0.7500 0.6882
Sn 0.6429 0.7500 0.2797
Sn 0.8571 0.2500 0.7797
Sn 0.8765 0.2500 0.1882
Sn 0.9373 0.7500 0.4188
Rh 0.0836 0.2500 0.3471
Rh 0.4164 0.7500 0.8471
Rh 0.5836 0.2500 0.1529
Rh 0.9164 0.7500 0.6529

# 2
Computed X-ray diffraction stick pattern
Compound: TaTl2HgAs
Radiation: a wavelength of 1.5418 Å
Structure: the GGA-PBE geometry in Alexandria

Top 10 peaks for 2θ = 10–90°, by angle:
d [Å]  I (rel.)
3.094  100
2.716  53
2.610  24
1.920  20
1.882  37
1.632  32
1.585  14
1.547  20
1.222  12
1.101  14

abc: 5.4319 5.4319 5.2203
angles: 90.00 90.00 90.00
Positions (direct):
Ta 0.0000 0.0000 0.0000
Tl 0.0000 0.5000 0.5000
Tl 0.5000 0.0000 0.5000
Hg 0.5000 0.5000 0.0000
As 0.5000 0.5000 0.5000

# 3
Computed X-ray diffraction stick pattern
Compound: TlCrFeCu2
Radiation: a wavelength of 1.5418 Å
Structure: the GGA-PBE geometry in Alexandria

Top 10 peaks for 2θ = 10–90°, by angle:
d [Å]  I (rel.)
4.504  69
3.185  22
2.678  100
2.474  37
2.252  56
2.168  21
1.665  42
1.592  18
1.369  24
1.339  20

abc: 4.5037 4.5037 4.9478
angles: 90.00 90.00 90.00
Positions (direct):
Tl 0.0000 0.0000 0.0000
Cr 0.5000 0.5000 0.0000
Fe 0.0000 0.0000 0.5000
Cu 0.0000 0.5000 0.5000
Cu 0.5000 0.0000 0.5000